For LiH2IO, a crystal structure in the Materials Project, relaxed with PBE gives the theoretical PXRD pattern in this record (copper Kα).
No peak broadening, texture or thermal motion is included.

Most intense lines, 2θ = 15–90°, in order of rising 2θ:
- (0 1 0), 20.23 deg, I 30
- (1 0 1), 21.00 deg, I 60
- (0 0 2), 28.11 deg, I 27
- (1 1 1), 29.32 deg, I 100
- (2 0 0), 31.54 deg, I 19
- (0 1 2), 34.88 deg, I 19
- (2 1 0), 37.76 deg, I 16
- (0 2 0), 41.12 deg, I 10
- (1 2 1), 46.62 deg, I 16
- (1 1 3), 50.52 deg, I 30
- (3 1 1), 54.80 deg, I 16
- (1 3 1), 67.76 deg, I 10

abc: 5.673 4.390 6.350
angles: 90.00 90.19 90.00
Fractional positions:
1 Li 0.000 0.000 0.000
2 Li 0.002 0.000 0.499
3 H 0.353 0.177 0.759
4 H 0.353 0.823 0.759
5 H 0.645 0.176 0.248
6 H 0.645 0.824 0.248
7 I 0.253 0.500 0.249
8 I 0.751 0.500 0.748
9 O 0.245 0.000 0.756
10 O 0.754 0.000 0.248